(1)
Theoretical PXRD pattern of Ba2GaBiTe5 for CuKα, from a DFT-relaxed cell (GGA-PBE, Alexandria).
Lines closer than 0.1° are merged.

Atomic structure:
Lattice parameters (Å, degrees): 13.8414 9.7362 10.1058 90.00 90.00 90.00
Element x y z (fractional)
Ba1 0.1759 0.0061 0.1191
Ba2 0.1759 0.4939 0.1191
Ba3 0.3241 0.5061 0.6191
Ba4 0.3241 0.9939 0.6191
Ba5 0.6759 0.0061 0.3809
Ba6 0.6759 0.4939 0.3809
Ba7 0.8241 0.5061 0.8809
Ba8 0.8241 0.9939 0.8809
Ga1 0.1007 0.7500 0.8339
Ga2 0.3993 0.2500 0.3339
Ga3 0.6007 0.7500 0.6661
Ga4 0.8993 0.2500 0.1661
Bi1 0.0291 0.7500 0.4732
Bi2 0.4709 0.2500 0.9732
Bi3 0.5291 0.7500 0.0268
Bi4 0.9709 0.2500 0.5268
Te1 0.0076 0.2500 0.9565
Te2 0.0610 0.5325 0.6789
Te3 0.0610 0.9675 0.6789
Te4 0.2135 0.2500 0.3857
Te5 0.2265 0.7500 0.3722
Te6 0.2735 0.2500 0.8722
Te7 0.2865 0.7500 0.8857
Te8 0.4390 0.0325 0.1789
Te9 0.4390 0.4675 0.1789
Te10 0.4924 0.7500 0.4565
Te11 0.5076 0.2500 0.5435
Te12 0.5610 0.5325 0.8211
Te13 0.5610 0.9675 0.8211
Te14 0.7135 0.2500 0.1143
Te15 0.7265 0.7500 0.1278
Te16 0.7735 0.2500 0.6278
Te17 0.7865 0.7500 0.6143
Te18 0.9390 0.0325 0.3211
Te19 0.9390 0.4675 0.3211
Te20 0.9924 0.7500 0.0435

Principal peaks in the range 2θ from 10° to 90°, in order of falling intensity:
d [Å]  Rel. int.
3.399  100
3.274  33
2.434  33
3.127  30
2.374  29
3.506  22

=====

(2)
Theoretical PXRD pattern of Ba2YGaBi for CuKα, from a DFT-relaxed cell (GGA-PBE, Alexandria).
Lines closer than 0.1° are merged.

Atomic structure:
Lattice parameters (Å, degrees): 6.7069 6.7069 5.8205 90.00 90.00 90.00
Element x y z (fractional)
Ba1 0.0000 0.5000 0.0000
Ba2 0.5000 0.0000 0.0000
Y1 0.0000 0.0000 0.5000
Ga1 0.5000 0.5000 0.5000
Bi1 0.0000 0.0000 0.0000

Principal peaks in the range 2θ from 10° to 90°, in order of falling intensity:
d [Å]  Rel. int.
3.353  100
2.198  77
2.908  66
6.707  62
5.821  41
2.371  39

=====

(3)
Theoretical PXRD pattern of BaGeBi for CuKα, from a DFT-relaxed cell (GGA-PBE, Alexandria).
Lines closer than 0.1° are merged.

Atomic structure:
Lattice parameters (Å, degrees): 5.0318 5.0318 4.8740 90.00 90.00 120.00
Element x y z (fractional)
Ba1 0.0000 0.0000 0.0000
Ge1 0.3333 0.6667 0.5000
Bi1 0.6667 0.3333 0.5000

Principal peaks in the range 2θ from 10° to 90°, in order of falling intensity:
d [Å]  Rel. int.
3.249  100
2.516  50
1.750  34
1.989  26
1.560  24
2.437  15

=====

(4)
Theoretical PXRD pattern of Ba3Ge2Bi3 for CuKα, from a DFT-relaxed cell (GGA-PBE, Alexandria).
Lines closer than 0.1° are merged.

Atomic structure:
Lattice parameters (Å, degrees): 4.9845 5.0440 11.8959 102.23 91.08 90.00
Element x y z (fractional)
Ba1 0.0000 0.0000 0.0000
Ba2 0.4993 0.8359 0.6711
Ba3 0.5007 0.1641 0.3289
Ge1 0.0126 0.2695 0.5399
Ge2 0.9874 0.7305 0.4601
Bi1 0.0021 0.3910 0.7816
Bi2 0.5000 0.5000 0.0000
Bi3 0.9979 0.6090 0.2184

Principal peaks in the range 2θ from 10° to 90°, in order of falling intensity:
d [Å]  Rel. int.
3.207  100
3.241  100
2.492  52
2.522  49
2.299  43
1.772  38

=====

(5)
Theoretical PXRD pattern of Ba3GeBi3 for CuKα, from a DFT-relaxed cell (GGA-PBE, Alexandria).
Lines closer than 0.1° are merged.

Atomic structure:
Lattice parameters (Å, degrees): 11.5577 11.5577 14.5487 90.00 90.00 37.39
Element x y z (fractional)
Ba1 0.0266 0.6288 0.1266
Ba2 0.1288 0.5266 0.6266
Ba3 0.2010 0.7990 0.8630
Ba4 0.2990 0.7010 0.3630
Ba5 0.3712 0.9734 0.1266
Ba6 0.4734 0.8712 0.6266
Ba7 0.5266 0.1288 0.3734
Ba8 0.6288 0.0266 0.8734
Ba9 0.7010 0.2990 0.6370
Ba10 0.7990 0.2010 0.1370
Ba11 0.8712 0.4734 0.3734
Ba12 0.9734 0.3712 0.8734
Ge1 0.0855 0.0855 0.5000
Ge2 0.4145 0.4145 0.0000
Ge3 0.5855 0.5855 0.0000
Ge4 0.9145 0.9145 0.5000
Bi1 0.0429 0.6326 0.3763
Bi2 0.1326 0.5429 0.8763
Bi3 0.2130 0.7870 0.6152
Bi4 0.2870 0.7130 0.1152
Bi5 0.3674 0.9571 0.3763
Bi6 0.4571 0.8674 0.8763
Bi7 0.5429 0.1326 0.1237
Bi8 0.6326 0.0429 0.6237
Bi9 0.7130 0.2870 0.8848
Bi10 0.7870 0.2130 0.3848
Bi11 0.8674 0.4571 0.1237
Bi12 0.9571 0.3674 0.6237

Principal peaks in the range 2θ from 10° to 90°, in order of falling intensity:
d [Å]  Rel. int.
3.643  100
2.597  87
2.576  53
3.704  36
2.115  34
1.632  16

=====

(6)
Theoretical PXRD pattern of Ba2GeBi5 for CuKα, from a DFT-relaxed cell (GGA-PBE, Alexandria).
Lines closer than 0.1° are merged.

Atomic structure:
Lattice parameters (Å, degrees): 7.4009 7.4009 7.4009 120.59 120.59 88.98
Element x y z (fractional)
Ba1 0.0000 0.5000 0.5000
Ba2 0.5000 0.0000 0.5000
Ge1 0.3744 0.3744 0.0000
Bi1 0.0714 0.0714 0.0000
Bi2 0.5231 0.5231 0.5442
Bi3 0.5231 0.9789 0.0000
Bi4 0.9789 0.5231 0.0000
Bi5 0.9789 0.9789 0.4558

Principal peaks in the range 2θ from 10° to 90°, in order of falling intensity:
d [Å]  Rel. int.
3.012  100
2.593  41
1.566  24
1.850  15
1.834  13
2.142  13